No. 1
This entry pairs a crystal structure of KIn2F7 with its theoretical powder X-ray diffraction pattern. Radiation: λ = 1.5418 Å (Cu Kα). Structure: a crystal structure in the Materials Project, relaxed with PBE.
Peak positions follow from Bragg's law for the DFT cell and can differ from measured ones.

Structure:
abc: 6.766 8.351 11.018
angles: 90.00 90.02 90.00
Element x y z (fractional)
1 K 0.246 0.250 0.253
2 K 0.248 0.750 0.251
3 K 0.752 0.250 0.749
4 K 0.754 0.750 0.747
5 In 0.250 0.503 0.558
6 In 0.250 0.503 0.942
7 In 0.250 0.997 0.558
8 In 0.250 0.997 0.942
9 In 0.750 0.003 0.058
10 In 0.750 0.003 0.442
11 In 0.750 0.497 0.058
12 In 0.750 0.497 0.442
13 F 0.061 0.008 0.393
14 F 0.061 0.021 0.106
15 F 0.061 0.479 0.106
16 F 0.061 0.492 0.393
17 F 0.249 0.750 0.521
18 F 0.249 0.750 0.989
19 F 0.250 0.250 0.568
20 F 0.250 0.542 0.750
21 F 0.250 0.958 0.750
22 F 0.252 0.250 0.914
23 F 0.438 0.009 0.393
24 F 0.438 0.026 0.105
25 F 0.438 0.474 0.105
26 F 0.438 0.491 0.393
27 F 0.562 0.509 0.607
28 F 0.562 0.526 0.895
29 F 0.562 0.974 0.895
30 F 0.562 0.991 0.607
31 F 0.748 0.750 0.086
32 F 0.750 0.042 0.250
33 F 0.750 0.458 0.250
34 F 0.750 0.750 0.432
35 F 0.751 0.250 0.011
36 F 0.751 0.250 0.479
37 F 0.939 0.508 0.607
38 F 0.939 0.521 0.894
39 F 0.939 0.979 0.894
40 F 0.939 0.992 0.607

Peak list (10 most intense, 2θ = 5–70°, in order of falling intensity)
2θ = 26.35°, rel. 100.0
2θ = 21.28°, rel. 81.8
2θ = 27.64°, rel. 71.2
2θ = 16.09°, rel. 66.5
2θ = 26.79°, rel. 51.2
2θ = 48.62°, rel. 40.0
2θ = 47.30°, rel. 30.3
2θ = 43.34°, rel. 30.2
2θ = 37.93°, rel. 28.1
2θ = 46.51°, rel. 27.9

=====

No. 2
This entry pairs a crystal structure of Ga2Sn3N4 with its theoretical powder X-ray diffraction pattern. Radiation: λ = 1.5418 Å (Cu Kα). Structure: a crystal structure in the Materials Project, relaxed with PBE.
Peak positions follow from Bragg's law for the DFT cell and can differ from measured ones.

Structure:
abc: 6.395 10.823 8.672
angles: 90.00 90.00 90.00
Element x y z (fractional)
1 Ga 0.211 0.250 0.250
2 Ga 0.250 0.000 0.211
3 Ga 0.250 0.500 0.289
4 Ga 0.289 0.750 0.250
5 Ga 0.711 0.250 0.750
6 Ga 0.750 0.000 0.789
7 Ga 0.750 0.500 0.711
8 Ga 0.789 0.750 0.750
9 Sn 0.208 0.142 0.869
10 Sn 0.208 0.358 0.631
11 Sn 0.250 0.000 0.548
12 Sn 0.250 0.500 0.952
13 Sn 0.292 0.642 0.631
14 Sn 0.292 0.858 0.869
15 Sn 0.708 0.142 0.131
16 Sn 0.708 0.358 0.369
17 Sn 0.750 0.000 0.452
18 Sn 0.750 0.500 0.048
19 Sn 0.792 0.642 0.369
20 Sn 0.792 0.858 0.131
21 N 0.094 0.104 0.359
22 N 0.094 0.396 0.141
23 N 0.136 0.643 0.404
24 N 0.136 0.857 0.096
25 N 0.364 0.143 0.096
26 N 0.364 0.357 0.404
27 N 0.406 0.604 0.141
28 N 0.406 0.896 0.359
29 N 0.594 0.104 0.641
30 N 0.594 0.396 0.859
31 N 0.636 0.643 0.596
32 N 0.636 0.857 0.904
33 N 0.864 0.143 0.904
34 N 0.864 0.357 0.596
35 N 0.906 0.604 0.859
36 N 0.906 0.896 0.641

Peak list (10 most intense, 2θ = 5–70°, in order of falling intensity)
2θ = 27.90°, rel. 100.0
2θ = 35.28°, rel. 92.1
2θ = 26.76°, rel. 69.9
2θ = 34.04°, rel. 65.2
2θ = 37.56°, rel. 51.3
2θ = 39.05°, rel. 41.1
2θ = 43.01°, rel. 37.4
2θ = 32.05°, rel. 33.9
2θ = 54.20°, rel. 31.4
2θ = 62.06°, rel. 28.9

=====

No. 3
This entry pairs a crystal structure of NaCSN with its theoretical powder X-ray diffraction pattern. Radiation: λ = 1.5418 Å (Cu Kα). Structure: a crystal structure in the Materials Project, relaxed with PBE.
Peak positions follow from Bragg's law for the DFT cell and can differ from measured ones.

Structure:
abc: 13.610 4.121 5.681
angles: 90.00 90.00 90.00
Element x y z (fractional)
1 Na 0.104 0.250 0.067
2 Na 0.396 0.750 0.567
3 Na 0.604 0.250 0.433
4 Na 0.896 0.750 0.933
5 C 0.116 0.750 0.631
6 C 0.384 0.250 0.131
7 C 0.616 0.750 0.869
8 C 0.884 0.250 0.369
9 S 0.184 0.750 0.395
10 S 0.316 0.250 0.895
11 S 0.684 0.750 0.105
12 S 0.816 0.250 0.605
13 N 0.068 0.750 0.805
14 N 0.432 0.250 0.305
15 N 0.568 0.750 0.695
16 N 0.932 0.250 0.195

Peak list (10 most intense, 2θ = 5–70°, in order of falling intensity)
2θ = 27.53°, rel. 100.0
2θ = 29.83°, rel. 32.8
2θ = 43.94°, rel. 24.0
2θ = 26.19°, rel. 23.0
2θ = 36.61°, rel. 22.7
2θ = 25.26°, rel. 21.9
2θ = 30.63°, rel. 20.2
2θ = 25.12°, rel. 20.2
2θ = 39.08°, rel. 16.4
2θ = 34.18°, rel. 15.2